# 1
The following is a computed X-ray powder pattern of Cs2Zr7CI18. It was derived from a structure optimized by DFT (PBE), using Cu Kα (λ = 1.5418 Å).
Neutral-atom scattering factors, no anomalous dispersion.

Structure:
```
data_Cs2Zr7CI18
_chemical_formula_sum 'Cs6 Zr21 C3 I54'
_space_group_name_H-M_alt 'R -3'
_space_group_IT_number 148
_space_group_name_Hall '-R 3'
_cell_length_a 11.1072
_cell_length_b 11.1072
_cell_length_c 29.9164
_cell_angle_alpha 90.00
_cell_angle_beta 90.00
_cell_angle_gamma 120.00
loop_
_atom_site_label
_atom_site_fract_x
_atom_site_fract_y
_atom_site_fract_z
_atom_site_occupancy
Cs1 0.0000 0.0000 0.2248 1
Zr1 0.0000 0.0000 0.5000 1
Zr2 0.0458 0.8587 0.0439 1
C1 0.0000 0.0000 0.0000 1
I1 0.0245 0.7990 0.4441 1
I2 0.0447 0.7876 0.6668 1
I3 0.0565 0.8234 0.8896 1
```

Peak list (10 most intense, 15° ≤ 2θ ≤ 90°, low angle first)
| index | two_theta | I (rel.) |
| --- | --- | --- |
| 1 2 2 | 25.2 | 179 |
| 0 0 9 | 26.8 | 287 |
| 3 -1 4 | 27.3 | 633 |
| 1 2 5 | 28.7 | 1000 |
| 3 -1 7 | 32.3 | 223 |
| 1 2 8 | 34.4 | 301 |
| 4 1 0 | 43.1 | 438 |
| 3 -1 13 | 46.7 | 270 |
| 5 -4 9 | 51.5 | 302 |
| 4 1 18 | 72.6 | 166 |

---

# 2
The following is a computed X-ray powder pattern of CsK2C2O6. It was derived from a structure optimized by DFT (PBE), using Cu Kα (λ = 1.5418 Å).
Neutral-atom scattering factors, no anomalous dispersion.

Structure:
```
data_CsK2C2O6
_chemical_formula_sum 'Cs1 K2 C2 O6'
_space_group_name_H-M_alt 'P -1'
_space_group_IT_number 2
_cell_length_a 6.0799
_cell_length_b 6.5290
_cell_length_c 6.7972
_cell_angle_alpha 97.65
_cell_angle_beta 114.30
_cell_angle_gamma 104.64
loop_
_space_group_symop_operation_xyz
'x,y,z'
'-x,-y,-z'
loop_
_atom_site_label
_atom_site_fract_x
_atom_site_fract_y
_atom_site_fract_z
_atom_site_occupancy
Cs1 0.0000 0.0000 0.0000 1
K1 0.3766 0.2921 0.6723 1
C1 0.3023 0.7537 0.7189 1
O1 0.1400 0.8508 0.6301 1
O2 0.3160 0.6834 0.8914 1
O3 0.4542 0.7271 0.6364 1
```

Peak list (10 most intense, 15° ≤ 2θ ≤ 90°, low angle first)
| index | two_theta | I (rel.) |
| --- | --- | --- |
| 0 1 -1 | 17.8 | 738 |
| 1 -1 0 | 18.3 | 688 |
| 1 1 -1 | 23.3 | 582 |
| 1 1 0 | 26.0 | 745 |
| 1 0 -2 | 26.7 | 770 |
| 1 0 1 | 27.5 | 1000 |
| 1 -2 0 | 28.5 | 448 |
| 0 2 -1 | 29.1 | 530 |
| 2 0 -1 | 30.4 | 370 |
| -1 2 1 | 32.3 | 484 |

---

# 3
The following is a computed X-ray powder pattern of CsLi3C. It was derived from a structure optimized by DFT (PBE), using Cu Kα (λ = 1.5418 Å).
Neutral-atom scattering factors, no anomalous dispersion.

Structure:
```
data_CsLi3C
_chemical_formula_sum 'Cs1 Li3 C1'
_space_group_name_H-M_alt 'P m -3 m'
_space_group_IT_number 221
_space_group_name_Hall '-P 4 2 3'
_cell_length_a 4.5150
_cell_length_b 4.5150
_cell_length_c 4.5150
_cell_angle_alpha 90.00
_cell_angle_beta 90.00
_cell_angle_gamma 90.00
loop_
_atom_site_label
_atom_site_fract_x
_atom_site_fract_y
_atom_site_fract_z
_atom_site_occupancy
Cs1 0.0000 0.0000 0.0000 1
Li1 0.0000 0.5000 0.5000 1
C1 0.5000 0.5000 0.5000 1
```

Peak list (10 most intense, 15° ≤ 2θ ≤ 90°, low angle first)
| index | two_theta | I (rel.) |
| --- | --- | --- |
| 1 0 0 | 19.7 | 793 |
| 1 1 0 | 27.9 | 1000 |
| 1 1 1 | 34.4 | 372 |
| 2 0 0 | 39.9 | 245 |
| 2 1 0 | 44.9 | 383 |
| 2 1 1 | 49.4 | 388 |
| 2 2 0 | 57.8 | 162 |
| 3 0 0 | 61.6 | 192 |
| 3 1 0 | 65.4 | 167 |
| 3 2 1 | 79.4 | 194 |

---

# 4
The following is a computed X-ray powder pattern of CsMgPC. It was derived from a structure optimized by DFT (PBE), using Cu Kα (λ = 1.5418 Å).
Neutral-atom scattering factors, no anomalous dispersion.

Structure:
```
data_CsMgPC
_chemical_formula_sum 'Cs2 Mg2 P2 C2'
_space_group_name_H-M_alt 'C 1 m 1'
_space_group_IT_number 8
_cell_length_a 13.7528
_cell_length_b 3.2003
_cell_length_c 4.3691
_cell_angle_alpha 90.00
_cell_angle_beta 106.32
_cell_angle_gamma 90.00
loop_
_space_group_symop_operation_xyz
'x,y,z'
'x,-y,z'
'x+1/2,y+1/2,z'
'x+1/2,-y+1/2,z'
loop_
_atom_site_label
_atom_site_fract_x
_atom_site_fract_y
_atom_site_fract_z
_atom_site_occupancy
Cs1 0.0000 0.0000 0.0000 1
Mg1 0.2719 0.0000 0.2833 1
P1 0.1992 0.5000 0.6674 1
C1 0.2821 0.0000 0.7935 1
```

Peak list (10 most intense, 15° ≤ 2θ ≤ 90°, low angle first)
| index | two_theta | I (rel.) |
| --- | --- | --- |
| 0 0 1 | 21.2 | 372 |
| 2 0 -1 | 21.7 | 451 |
| 4 0 0 | 27.0 | 465 |
| 2 0 1 | 28.2 | 386 |
| 1 1 0 | 28.7 | 361 |
| 4 0 -1 | 29.4 | 311 |
| 1 1 -1 | 34.7 | 1000 |
| 2 0 -2 | 41.4 | 188 |
| 3 1 1 | 44.0 | 187 |
| 5 1 -1 | 45.1 | 204 |

---

# 5
The following is a computed X-ray powder pattern of CsMgPC. It was derived from a structure optimized by DFT (PBE), using Cu Kα (λ = 1.5418 Å).
Neutral-atom scattering factors, no anomalous dispersion.

Structure:
```
data_CsMgPC
_chemical_formula_sum 'Cs1 Mg1 P1 C1'
_space_group_name_H-M_alt 'P m m 2'
_space_group_IT_number 25
_cell_length_a 3.6046
_cell_length_b 6.0906
_cell_length_c 4.9850
_cell_angle_alpha 90.00
_cell_angle_beta 90.00
_cell_angle_gamma 90.00
loop_
_space_group_symop_operation_xyz
'x,y,z'
'-x,-y,z'
'-x,y,z'
'x,-y,z'
loop_
_atom_site_label
_atom_site_fract_x
_atom_site_fract_y
_atom_site_fract_z
_atom_site_occupancy
Cs1 0.0000 0.0000 0.0000 1
Mg1 0.0000 0.5000 0.4254 1
P1 0.5000 0.5000 0.8311 1
C1 0.5000 0.5000 0.1672 1
```

Peak list (10 most intense, 15° ≤ 2θ ≤ 90°, low angle first)
| index | two_theta | I (rel.) |
| --- | --- | --- |
| 0 0 1 | 17.8 | 682 |
| 0 1 1 | 23.1 | 767 |
| 1 0 0 | 24.7 | 234 |
| 1 1 0 | 28.8 | 548 |
| 0 2 0 | 29.3 | 477 |
| 1 1 1 | 34.0 | 1000 |
| 0 2 1 | 34.5 | 252 |
| 0 1 2 | 39.0 | 218 |
| 1 2 2 | 53.9 | 232 |
| 1 3 1 | 55.1 | 242 |

---

# 6
The following is a computed X-ray powder pattern of CsMoC2. It was derived from a structure optimized by DFT (PBE), using Cu Kα (λ = 1.5418 Å).
Neutral-atom scattering factors, no anomalous dispersion.

Structure:
```
data_CsMoC2
_chemical_formula_sum 'Cs4 Mo4 C8'
_space_group_name_H-M_alt 'I 41/a m d'
_space_group_IT_number 141
_cell_length_a 6.3829
_cell_length_b 6.3829
_cell_length_c 9.0107
_cell_angle_alpha 90.00
_cell_angle_beta 90.00
_cell_angle_gamma 90.00
loop_
_space_group_symop_operation_xyz
'x,y,z'
'-x,-y,-z'
'-y+1/4,x+3/4,z+1/4'
'y+1/4,-x+3/4,-z+1/4'
'-x+1/2,-y,z+1/2'
'x+1/2,y,-z+1/2'
'y+1/4,-x+1/4,z+3/4'
'-y+1/4,x+1/4,-z+3/4'
'x,-y,-z'
'-x,y,z'
'-y+1/4,-x+1/4,-z+3/4'
'y+1/4,x+1/4,z+3/4'
'-x+1/2,y,-z+1/2'
'x+1/2,-y,z+1/2'
'y+1/4,x+3/4,-z+1/4'
'-y+1/4,-x+3/4,z+1/4'
'x+1/2,y+1/2,z+1/2'
'-x+1/2,-y+1/2,-z+1/2'
'-y+3/4,x+1/4,z+3/4'
'y+3/4,-x+1/4,-z+3/4'
'-x,-y+1/2,z'
'x,y+1/2,-z'
'y+3/4,-x+3/4,z+1/4'
'-y+3/4,x+3/4,-z+1/4'
'x+1/2,-y+1/2,-z+1/2'
'-x+1/2,y+1/2,z+1/2'
'-y+3/4,-x+3/4,-z+1/4'
'y+3/4,x+3/4,z+1/4'
'-x,y+1/2,-z'
'x,-y+1/2,z'
'y+3/4,x+1/4,-z+3/4'
'-y+3/4,-x+1/4,z+3/4'
loop_
_atom_site_label
_atom_site_fract_x
_atom_site_fract_y
_atom_site_fract_z
_atom_site_occupancy
Cs1 0.0000 0.2500 0.3750 1
Mo1 0.0000 0.2500 0.8750 1
C1 0.0000 0.0000 0.0000 1
```

Peak list (10 most intense, 15° ≤ 2θ ≤ 90°, low angle first)
| index | two_theta | I (rel.) |
| --- | --- | --- |
| 2 0 0 | 28.0 | 1000 |
| 2 1 1 | 32.9 | 27 |
| 2 2 0 | 40.0 | 156 |
| 3 1 2 | 49.5 | 399 |
| 4 0 0 | 57.8 | 144 |
| 4 2 0 | 65.4 | 115 |
| 1 1 6 | 65.5 | 57 |
| 4 0 4 | 72.6 | 37 |
| 5 1 2 | 79.5 | 201 |
| 4 4 0 | 86.2 | 16 |

---

# 7
The following is a computed X-ray powder pattern of CsMoC6. It was derived from a structure optimized by DFT (PBE), using Cu Kα (λ = 1.5418 Å).
Neutral-atom scattering factors, no anomalous dispersion.

Structure:
```
data_CsMoC6
_chemical_formula_sum 'Cs1 Mo1 C6'
_space_group_name_H-M_alt 'P m -3 m'
_space_group_IT_number 221
_space_group_name_Hall '-P 4 2 3'
_cell_length_a 5.4448
_cell_length_b 5.4448
_cell_length_c 5.4448
_cell_angle_alpha 90.00
_cell_angle_beta 90.00
_cell_angle_gamma 90.00
loop_
_atom_site_label
_atom_site_fract_x
_atom_site_fract_y
_atom_site_fract_z
_atom_site_occupancy
Cs1 0.0000 0.0000 0.0000 1
Mo1 0.5000 0.5000 0.5000 1
C1 0.1166 0.5000 0.5000 1
```

Peak list (10 most intense, 15° ≤ 2θ ≤ 90°, low angle first)
| index | two_theta | I (rel.) |
| --- | --- | --- |
| 1 1 0 | 23.1 | 1000 |
| 1 1 1 | 28.4 | 58 |
| 2 0 0 | 32.9 | 323 |
| 2 1 1 | 40.6 | 382 |
| 2 2 0 | 47.2 | 191 |
| 3 1 0 | 53.2 | 250 |
| 3 2 1 | 64.0 | 251 |
| 3 3 0 | 73.8 | 113 |
| 4 2 0 | 78.6 | 72 |
| 3 3 2 | 83.2 | 73 |

---

# 8
The following is a computed X-ray powder pattern of Cs3MoC6S3N6. It was derived from a structure optimized by DFT (PBE), using Cu Kα (λ = 1.5418 Å).
Neutral-atom scattering factors, no anomalous dispersion.

Structure:
```
data_Cs3MoC6S3N6
_chemical_formula_sum 'Cs3 Mo1 C6 S3 N6'
_space_group_name_H-M_alt 'P -6 m 2'
_space_group_IT_number 187
_space_group_name_Hall 'P -6 2'
_cell_length_a 9.8718
_cell_length_b 9.8718
_cell_length_c 7.0659
_cell_angle_alpha 90.00
_cell_angle_beta 90.00
_cell_angle_gamma 120.00
loop_
_atom_site_label
_atom_site_fract_x
_atom_site_fract_y
_atom_site_fract_z
_atom_site_occupancy
Cs1 0.1842 0.3684 0.0000 1
Mo1 0.6667 0.3333 0.0000 1
C1 0.5107 0.0213 0.2613 1
S1 0.0657 0.5328 0.5000 1
N1 0.5738 0.1477 0.1845 1
```

Peak list (10 most intense, 15° ≤ 2θ ≤ 90°, low angle first)
| index | two_theta | I (rel.) |
| --- | --- | --- |
| 2 0 0 | 20.8 | 485 |
| 2 0 1 | 24.3 | 1000 |
| 0 0 2 | 25.2 | 118 |
| 2 0 2 | 32.9 | 346 |
| 2 2 0 | 36.4 | 173 |
| 2 2 1 | 38.6 | 142 |
| 2 0 3 | 43.9 | 191 |
| 4 0 1 | 44.3 | 124 |
| 2 2 2 | 44.8 | 138 |
| 4 0 2 | 49.9 | 106 |

---

# 9
The following is a computed X-ray powder pattern of Cs3CN3. It was derived from a structure optimized by DFT (PBE), using Cu Kα (λ = 1.5418 Å).
Neutral-atom scattering factors, no anomalous dispersion.

Structure:
```
data_Cs3CN3
_chemical_formula_sum 'Cs6 C2 N6'
_space_group_name_H-M_alt 'P 63/m'
_space_group_IT_number 176
_space_group_name_Hall '-P 6c'
_cell_length_a 10.7411
_cell_length_b 10.7411
_cell_length_c 4.8790
_cell_angle_alpha 90.00
_cell_angle_beta 90.00
_cell_angle_gamma 120.00
loop_
_atom_site_label
_atom_site_fract_x
_atom_site_fract_y
_atom_site_fract_z
_atom_site_occupancy
Cs1 0.1167 0.6813 0.2500 1
C1 0.3333 0.6667 0.7500 1
N1 0.2039 0.5466 0.7500 1
```

Peak list (10 most intense, 15° ≤ 2θ ≤ 90°, low angle first)
| index | two_theta | I (rel.) |
| --- | --- | --- |
| 1 0 1 | 20.6 | 303 |
| 1 1 1 | 24.7 | 766 |
| 2 1 0 | 25.3 | 1000 |
| 2 0 1 | 26.5 | 297 |
| 1 2 1 | 31.4 | 614 |
| 0 0 2 | 36.8 | 179 |
| 2 2 1 | 38.3 | 171 |
| 4 0 1 | 43.1 | 299 |
| 2 1 2 | 45.2 | 417 |
| 3 3 1 | 54.6 | 193 |

---

# 10
The following is a computed X-ray powder pattern of CsNaC2. It was derived from a structure optimized by DFT (PBE), using Cu Kα (λ = 1.5418 Å).
Neutral-atom scattering factors, no anomalous dispersion.

Structure:
```
data_CsNaC2
_chemical_formula_sum 'Cs4 Na4 C8'
_space_group_name_H-M_alt 'P b c m'
_space_group_IT_number 57
_cell_length_a 8.4167
_cell_length_b 6.9430
_cell_length_c 6.5998
_cell_angle_alpha 90.00
_cell_angle_beta 90.00
_cell_angle_gamma 90.00
loop_
_space_group_symop_operation_xyz
'x,y,z'
'-x,-y,-z'
'-x,-y,z+1/2'
'x,y,-z+1/2'
'x,-y+1/2,-z'
'-x,y+1/2,z'
'-x,y+1/2,-z+1/2'
'x,-y+1/2,z+1/2'
loop_
_atom_site_label
_atom_site_fract_x
_atom_site_fract_y
_atom_site_fract_z
_atom_site_occupancy
Cs1 0.1564 0.0373 0.2500 1
Na1 0.4632 0.7500 0.0000 1
C1 0.2463 0.5595 0.2500 1
C2 0.3721 0.0410 0.7500 1
```

Peak list (10 most intense, 15° ≤ 2θ ≤ 90°, low angle first)
| index | two_theta | I (rel.) |
| --- | --- | --- |
| 1 1 1 | 21.4 | 883 |
| 0 2 0 | 25.7 | 240 |
| 0 0 2 | 27.0 | 286 |
| 1 2 0 | 27.8 | 214 |
| 2 1 1 | 28.2 | 1000 |
| 1 0 2 | 29.1 | 329 |
| 3 0 0 | 31.9 | 252 |
| 0 2 2 | 37.6 | 349 |
| 2 1 3 | 48.5 | 212 |
| 3 2 2 | 50.1 | 198 |

---

# 11
The following is a computed X-ray powder pattern of CsNbC6. It was derived from a structure optimized by DFT (PBE), using Cu Kα (λ = 1.5418 Å).
Neutral-atom scattering factors, no anomalous dispersion.

Structure:
```
data_CsNbC6
_chemical_formula_sum 'Cs1 Nb1 C6'
_space_group_name_H-M_alt 'P m -3 m'
_space_group_IT_number 221
_space_group_name_Hall '-P 4 2 3'
_cell_length_a 5.6202
_cell_length_b 5.6202
_cell_length_c 5.6202
_cell_angle_alpha 90.00
_cell_angle_beta 90.00
_cell_angle_gamma 90.00
loop_
_atom_site_label
_atom_site_fract_x
_atom_site_fract_y
_atom_site_fract_z
_atom_site_occupancy
Cs1 0.0000 0.0000 0.0000 1
Nb1 0.5000 0.5000 0.5000 1
C1 0.1122 0.5000 0.5000 1
```

Peak list (10 most intense, 15° ≤ 2θ ≤ 90°, low angle first)
| index | two_theta | I (rel.) |
| --- | --- | --- |
| 1 1 0 | 22.4 | 1000 |
| 2 0 0 | 31.8 | 334 |
| 2 1 1 | 39.3 | 390 |
| 2 2 0 | 45.7 | 201 |
| 3 1 0 | 51.4 | 258 |
| 3 2 1 | 61.8 | 260 |
| 3 3 0 | 71.2 | 115 |
| 4 2 0 | 75.7 | 75 |
| 3 3 2 | 80.1 | 73 |
| 5 1 0 | 88.8 | 142 |

---

# 12
The following is a computed X-ray powder pattern of CsNbCS. It was derived from a structure optimized by DFT (PBE), using Cu Kα (λ = 1.5418 Å).
Neutral-atom scattering factors, no anomalous dispersion.

Structure:
```
data_CsNbCS
_chemical_formula_sum 'Cs3 Nb3 C3 S3'
_space_group_name_H-M_alt 'R 3 m'
_space_group_IT_number 160
_space_group_name_Hall 'R 3 -2"'
_cell_length_a 3.4799
_cell_length_b 3.4799
_cell_length_c 23.3869
_cell_angle_alpha 90.00
_cell_angle_beta 90.00
_cell_angle_gamma 120.00
loop_
_atom_site_label
_atom_site_fract_x
_atom_site_fract_y
_atom_site_fract_z
_atom_site_occupancy
Cs1 0.0000 0.0000 0.0000 1
Nb1 0.0000 0.0000 0.5212 1
C1 0.0000 0.0000 0.2238 1
S1 0.0000 0.0000 0.7835 1
```

Peak list (10 most intense, 15° ≤ 2θ ≤ 90°, low angle first)
| index | two_theta | I (rel.) |
| --- | --- | --- |
| 0 0 6 | 22.8 | 484 |
| 0 1 2 | 30.6 | 657 |
| 1 0 4 | 33.5 | 1000 |
| 0 1 5 | 35.4 | 173 |
| 0 1 8 | 43.1 | 321 |
| 1 0 10 | 49.3 | 177 |
| 1 1 0 | 52.6 | 387 |
| 1 1 6 | 58.1 | 224 |
| 0 2 4 | 63.8 | 211 |
| 2 1 4 | 87.2 | 154 |

---

Q: Number 5 is which compound?
A: CsMgPC

---

Repeat the tenth record exactly.
The following is a computed X-ray powder pattern of CsNaC2. It was derived from a structure optimized by DFT (PBE), using Cu Kα (λ = 1.5418 Å).
Neutral-atom scattering factors, no anomalous dispersion.

Structure:
```
data_CsNaC2
_chemical_formula_sum 'Cs4 Na4 C8'
_space_group_name_H-M_alt 'P b c m'
_space_group_IT_number 57
_cell_length_a 8.4167
_cell_length_b 6.9430
_cell_length_c 6.5998
_cell_angle_alpha 90.00
_cell_angle_beta 90.00
_cell_angle_gamma 90.00
loop_
_space_group_symop_operation_xyz
'x,y,z'
'-x,-y,-z'
'-x,-y,z+1/2'
'x,y,-z+1/2'
'x,-y+1/2,-z'
'-x,y+1/2,z'
'-x,y+1/2,-z+1/2'
'x,-y+1/2,z+1/2'
loop_
_atom_site_label
_atom_site_fract_x
_atom_site_fract_y
_atom_site_fract_z
_atom_site_occupancy
Cs1 0.1564 0.0373 0.2500 1
Na1 0.4632 0.7500 0.0000 1
C1 0.2463 0.5595 0.2500 1
C2 0.3721 0.0410 0.7500 1
```

Peak list (10 most intense, 15° ≤ 2θ ≤ 90°, low angle first)
| index | two_theta | I (rel.) |
| --- | --- | --- |
| 1 1 1 | 21.4 | 883 |
| 0 2 0 | 25.7 | 240 |
| 0 0 2 | 27.0 | 286 |
| 1 2 0 | 27.8 | 214 |
| 2 1 1 | 28.2 | 1000 |
| 1 0 2 | 29.1 | 329 |
| 3 0 0 | 31.9 | 252 |
| 0 2 2 | 37.6 | 349 |
| 2 1 3 | 48.5 | 212 |
| 3 2 2 | 50.1 | 198 |